Starting from a cell relaxed with PBE+U, the X-ray diffraction stick pattern of K2LiInMo3O12 was simulated for Cu Kα.
Kinematic intensities with the Lorentz-polarization factor, no thermal factor.

Principal peaks in the range 2θ from 10° to 80°, low angle first:
2θ 12.93, intensity 53; 2θ 13.37, intensity 45; 2θ 18.79, intensity 27; 2θ 20.89, intensity 24; 2θ 26.07, intensity 100; 2θ 26.78, intensity 33; 2θ 26.95, intensity 40; 2θ 27.96, intensity 27; 2θ 28.56, intensity 44; 2θ 29.76, intensity 18

Structure:
```
data_K2LiInMo3O12
_cell_length_a 7.1203
_cell_length_b 9.4467
_cell_length_c 10.4355
_cell_angle_alpha 90.00
_cell_angle_beta 107.78
_cell_angle_gamma 90.00
_space_group_name_H-M_alt 'P 1 21 1'
_space_group_IT_number 4
_space_group_name_Hall 'P 2yb'
loop_
_atom_site_label
_atom_site_fract_x
_atom_site_fract_y
_atom_site_fract_z
K1 0.0975 0.0000 0.0939
K2 0.3336 0.4395 0.7084
Li1 0.4564 0.7901 0.6332
In1 0.2263 0.0338 0.7593
Mo1 0.0702 0.2269 0.4247
Mo2 0.3012 0.6136 0.3132
Mo3 0.4487 0.7224 0.9537
O1 0.0296 0.0678 0.3324
O2 0.0602 0.5467 0.2118
O3 0.1259 0.1928 0.6043
O4 0.1455 0.8434 0.6365
O5 0.2751 0.5917 0.9570
O6 0.2815 0.3130 0.4057
O7 0.3250 0.6342 0.4872
O8 0.3279 0.7836 0.2506
O9 0.3315 0.8972 0.9370
O10 0.3401 0.2123 0.8932
O11 0.4667 0.1835 0.1869
O12 0.4949 0.0041 0.7051
```